Calculated PXRD pattern of Li7FeNi3P6O24 for a wavelength of 1.5418 Å, from DFT lattice parameters and positions (PBE+U).
Lines closer than 0.1° are merged.

Most intense lines, 2θ = 10–90°, in order of falling intensity:
d_spacing, I_rel
3.675, 100
2.819, 89
4.490, 87
6.132, 67
3.066, 55
2.424, 32

Crystal structure
Unit cell a=9.024 b=9.024 c=9.024 alpha=55.44 beta=55.44 gamma=55.44
Element x y z (fractional)
Li 0.000 0.000 0.000
Li 0.208 0.469 0.813
Li 0.278 0.873 0.617
Li 0.469 0.813 0.208
Li 0.617 0.278 0.873
Li 0.813 0.208 0.469
Li 0.873 0.617 0.278
Fe 0.397 0.397 0.397
Ni 0.195 0.195 0.195
Ni 0.687 0.687 0.687
Ni 0.887 0.887 0.887
P 0.003 0.292 0.586
P 0.088 0.794 0.498
P 0.292 0.586 0.003
P 0.498 0.088 0.794
P 0.586 0.003 0.292
P 0.794 0.498 0.088
O 0.005 0.324 0.392
O 0.013 0.369 0.051
O 0.046 0.075 0.722
O 0.051 0.013 0.369
O 0.075 0.722 0.046
O 0.091 0.753 0.690
O 0.150 0.358 0.541
O 0.294 0.671 0.396
O 0.324 0.392 0.005
O 0.358 0.541 0.150
O 0.369 0.051 0.013
O 0.392 0.005 0.324
O 0.396 0.294 0.671
O 0.414 0.681 0.795
O 0.532 0.935 0.743
O 0.541 0.150 0.358
O 0.671 0.396 0.294
O 0.681 0.795 0.414
O 0.690 0.091 0.753
O 0.722 0.046 0.075
O 0.743 0.532 0.935
O 0.753 0.690 0.091
O 0.795 0.414 0.681
O 0.935 0.743 0.532